# Ba2SmMgMoO6
Calculated X-ray diffraction stick pattern, Cu Kα, 1.54184 Å. Input: a structure optimized by DFT (PBE+U).

Structure:
abc: 6.052 6.086 6.347
angles: 66.10 66.84 60.77
Space group P1 (No. 1)
One atom of each set of equivalent atoms:
Ba (0.000, 0.000, 0.000) [1 per cell]
Ba (0.439, 0.427, 0.656) [1 per cell]
Sm (0.183, 0.220, 0.381) [1 per cell]
Mg (0.797, 0.767, 0.503) [1 per cell]
Mo (0.648, 0.709, 0.972) [1 per cell]
O (0.372, 0.044, 0.084) [1 per cell]
O (0.431, 0.883, 0.675) [1 per cell]
O (0.439, 0.464, 0.207) [1 per cell]
O (0.839, 0.604, 0.255) [1 per cell]
O (0.887, 0.970, 0.623) [1 per cell]
O (0.943, 0.441, 0.728) [1 per cell]

Main lines, by intensity (2θ from 5° to 70°):
- 2θ = 29.09°, rel. 100, (1 -1 0)
- 2θ = 29.65°, rel. 87, (2 1 1)
- 2θ = 29.45°, rel. 76, (1 2 1)
- 2θ = 26.47°, rel. 61, (0 1 -1)
- 2θ = 28.49°, rel. 57, (1 1 2)
- 2θ = 26.24°, rel. 50, (1 0 -1)